Pr3YPd12: computed X-ray diffraction stick pattern (CuKα), based on a crystal structure in Alexandria, relaxed with PBE.
No peak broadening, texture or thermal motion is included.

Top 10 peaks for 2θ from 10° to 90°, by angle:
2θ = 21.1°, I 0.6, hkl 0 0 4
2θ = 30.1°, I 0.5, hkl 1 1 0
2θ = 37.1°, I 100.0, hkl 1 1 4
2θ = 42.9°, I 16.2, hkl 0 0 8
2θ = 43.1°, I 32.7, hkl 2 0 0
2θ = 62.5°, I 20.9, hkl 2 0 8
2θ = 62.6°, I 10.6, hkl 2 2 0
2θ = 74.8°, I 11.9, hkl 1 1 12
2θ = 75.1°, I 24.5, hkl 3 1 4
2θ = 79.0°, I 10.6, hkl 2 2 8

Structure:
abc: 4.1947 4.1947 16.8487
angles: 90.00 90.00 90.00
Space group P4/mmm (No. 123)
Symmetry-distinct sites (fractional):
Pr 0.0000 0.0000 0.0000 [1 per cell]
Pr 0.0000 0.0000 0.2532 [2 per cell]
Y 0.0000 0.0000 0.5000 [1 per cell]
Pd 0.0000 0.5000 0.1262 [4 per cell]
Pd 0.0000 0.5000 0.3794 [4 per cell]
Pd 0.5000 0.5000 0.0000 [1 per cell]
Pd 0.5000 0.5000 0.2522 [2 per cell]
Pd 0.5000 0.5000 0.5000 [1 per cell]